Starting from DFT lattice parameters and positions (GGA-PBE), the powder diffractogram of Pr3GaFeS7 was simulated for Cu Kα, 1.54184 Å.
Lines closer than 0.1° are merged.

Main lines, by intensity (10° ≤ 2θ ≤ 80°):
2theta	I (rel.)
25.15	100
35.55	40
36.18	39
34.15	31
40.06	26
26.97	25
40.48	22
22.97	22

```
Pr3GaFeS7
1.0
10.1016 0.0000 0.0000
-5.0508 8.7482 0.0000
0.0000 0.0000 6.0318
Pr Ga Fe S
6 2 2 14
direct
0.1440 0.7718 0.0000
0.2282 0.3722 0.0000
0.3722 0.1440 0.5000
0.6278 0.8560 0.0000
0.7718 0.6278 0.5000
0.8560 0.2282 0.5000
0.3333 0.6667 0.5804
0.6667 0.3333 0.0804
0.0000 0.0000 0.2101
0.0000 0.0000 0.7101
0.0922 0.8584 0.4490
0.0949 0.5178 0.7291
0.1416 0.2338 0.4490
0.2338 0.0922 0.9490
0.3333 0.6667 0.2084
0.4229 0.9051 0.7291
0.4822 0.5771 0.7291
0.5178 0.4229 0.2291
0.5771 0.0949 0.2291
0.6667 0.3333 0.7084
0.7662 0.9078 0.4490
0.8584 0.7662 0.9490
0.9051 0.4822 0.2291
0.9078 0.1416 0.9490
```

***

Starting from DFT lattice parameters and positions (GGA-PBE), the powder diffractogram of Ga2Fe2S5 was simulated for Cu Kα, 1.54184 Å.
Lines closer than 0.1° are merged.

Main lines, by intensity (10° ≤ 2θ ≤ 80°):
2theta	I (rel.)
32.62	100
28.72	75
50.37	73
40.01	69
53.18	54
23.55	35
17.61	29
49.62	26

```
Ga2Fe2S5
1.0
1.8117 1.0460 15.1092
-1.8117 1.0460 15.1092
0.0000 -2.0919 15.1092
Ga Fe S
2 2 5
direct
0.2240 0.2240 0.2240
0.7760 0.7760 0.7760
0.3647 0.3647 0.3647
0.6353 0.6353 0.6353
0.0000 0.0000 0.0000
0.1325 0.1325 0.1325
0.2733 0.2733 0.2733
0.7267 0.7267 0.7267
0.8675 0.8675 0.8675
```

***

Q: Which formula does entry 1 have?
A: Pr3GaFeS7